Ho3ErTh3: simulated powder X-ray diffraction pattern (copper Kα), based on DFT lattice parameters and positions (PBE).
Neutral-atom scattering factors, no anomalous dispersion.

Largest 8 diffraction maxima, sorted by position, 10 to 90 degrees two-theta:
d [Å]  Position (°2θ)  Rel. int.
3.084  28.95  23
2.907  30.75  26
2.724  32.87  100
2.116  42.74  16
1.781  51.31  19
1.641  56.04  22
1.518  61.02  23
1.490  62.29  16

Structure:
```
Ho3ErTh3
1.0
9.421 0.000 0.000
0.000 5.815 0.000
-4.710 0.000 8.160
Ho Er Th
6 2 6
Direct
0.029 0.250 0.408
0.121 0.750 0.029
0.408 0.750 0.879
0.592 0.250 0.121
0.879 0.250 0.971
0.971 0.750 0.592
0.167 0.250 0.833
0.833 0.750 0.167
0.265 0.750 0.452
0.312 0.250 0.264
0.452 0.250 0.687
0.548 0.750 0.313
0.688 0.750 0.736
0.735 0.250 0.548
```